Diffraction record for CaMn2Cu3Ru2O12. The X-ray powder pattern is computed, not measured: it uses a PBE+U-relaxed structure and CuKα.

Crystal structure
```
20
Lattice="5.3077 -3.7054 0.0000 5.3077 3.7054 0.0000 -5.2980 0.0000 5.3402" Properties=species:S:1:pos:R:3 pbc="T T T"
Ca 0.0000 0.0000 0.0000
Mn 0.0049 1.8527 2.6701
Mn 0.0049 -1.8527 2.6701
Cu -2.6490 0.0000 2.6701
Cu 5.3077 0.0000 0.0000
Cu 2.6587 0.0000 2.6701
Ru 2.6539 1.8527 0.0000
Ru 2.6539 -1.8527 0.0000
O 1.6812 1.2616 1.6090
O -0.7219 0.0000 2.5616
O -2.7532 0.0000 4.6044
O 4.3790 1.4219 0.8728
O 0.9384 1.4219 4.4674
O 1.6812 -1.2616 1.6090
O 3.6362 1.2616 3.7311
O 4.3790 -1.4219 0.8728
O 0.9384 -1.4219 4.4674
O 8.0706 0.0000 0.7358
O 6.0394 0.0000 2.7785
O 3.6362 -1.2616 3.7311
```

Most intense lines, 10 to 80 degrees two-theta, low angle first:
33.6°, d = 2.670 Å, I = 26.0
33.8°, d = 2.654 Å, I = 25.6
33.9°, d = 2.641 Å, I = 100.0
48.4°, d = 1.882 Å, I = 25.2
49.2°, d = 1.853 Å, I = 12.0
60.3°, d = 1.536 Å, I = 24.6
60.5°, d = 1.530 Å, I = 24.3
60.9°, d = 1.522 Å, I = 12.0

Diffraction record for CrH6SO7. The X-ray powder pattern is computed, not measured: it uses a PBE+U-relaxed structure and CuKα.

Crystal structure
```
30
Lattice="5.7872 0.0000 0.0000 2.8917 6.7011 0.0000 0.6354 -0.0006 7.5140" Properties=species:S:1:pos:R:3 pbc="T T T"
Cr 0.0000 0.0000 0.0000
Cr 3.2081 3.0934 3.7519
H 2.0935 2.2757 6.0060
H 3.0322 3.5014 6.4502
H 1.9740 0.7473 1.6944
H 2.6127 0.3853 0.2650
H 5.1809 2.3448 5.4481
H 7.0174 5.9805 6.0106
H 4.6708 0.8171 2.2535
H 7.0416 5.2541 7.4334
H 5.8200 2.7079 4.0192
H 6.7213 4.5389 3.6757
H 6.6956 3.8145 2.2516
H 8.5016 6.2931 2.6977
S 4.8153 6.4429 4.3639
S 4.4985 3.3510 0.6037
O 2.4691 3.1339 5.7104
O 1.4565 0.3882 5.6404
O 3.7621 5.5384 3.8231
O 1.8036 0.7446 0.7120
O 2.2036 0.8362 3.3964
O 3.4455 4.2555 0.0631
O 4.0313 2.7049 1.8803
O 6.0567 5.6666 4.6560
O 5.0110 2.3475 4.4655
O 5.4141 2.2559 7.1501
O 5.7401 4.1267 0.8961
O 7.3813 6.0646 6.9396
O 7.9389 6.6608 1.9575
O 7.0607 3.7294 3.1805
```

Most intense lines, 10 to 80 degrees two-theta, low angle first:
16.7°, d = 5.297 Å, I = 60.0
19.7°, d = 4.496 Å, I = 100.0
23.7°, d = 3.757 Å, I = 65.3
25.2°, d = 3.532 Å, I = 51.0
26.6°, d = 3.351 Å, I = 68.9
28.5°, d = 3.135 Å, I = 46.9
30.2°, d = 2.958 Å, I = 48.8
35.0°, d = 2.561 Å, I = 54.4

Diffraction record for V3Fe2CuP6O24. The X-ray powder pattern is computed, not measured: it uses a PBE+U-relaxed structure and CuKα.

Crystal structure
```
36
Lattice="4.3202 2.4943 6.8431 -4.3202 2.4943 6.8431 0.0000 -4.9885 6.8431" Properties=species:S:1:pos:R:3 pbc="T T T"
V 0.0000 0.0000 0.0000
V 0.0000 0.0000 4.4181
V 0.0000 0.0000 10.3033
Fe 0.0000 0.0000 7.3419
Fe 0.0000 0.0000 17.5612
Cu 0.0000 0.0000 14.6632
P -1.2634 -2.8000 9.0788
P -2.5324 -0.0055 12.5207
P -1.7932 2.4942 9.0788
P 1.2710 -2.1904 12.5208
P 3.0566 0.3059 9.0789
P 1.2614 2.1959 12.5208
O -0.8312 -3.5590 7.7942
O -1.4990 -0.0881 5.7271
O -3.4567 -1.2639 12.3413
O -0.7166 -3.5213 10.3322
O -2.6666 2.4993 7.7942
O -0.5969 -1.3838 8.9366
O 0.8258 -1.2541 5.7271
O -2.6912 2.3813 10.3322
O -1.6527 -0.0059 11.2319
O -0.9000 1.2089 8.9366
O 0.6732 1.3422 5.7271
O -1.7656 0.0229 13.8064
O 0.8314 -1.4284 11.2319
O -0.9273 -1.2611 16.1263
O 1.4969 0.1750 8.9366
O 0.8630 -1.5405 13.8064
O 0.8213 1.4342 11.2319
O 2.8229 -2.3616 12.3413
O -0.6285 1.4337 16.1263
O 3.4978 1.0597 7.7942
O 0.9027 1.5176 13.8064
O 0.6338 3.6255 12.3413
O 1.5558 -0.1726 16.1263
O 3.4079 1.1400 10.3322
```

Most intense lines, 10 to 80 degrees two-theta, low angle first:
20.6°, d = 4.320 Å, I = 82.7
24.4°, d = 3.653 Å, I = 100.0
33.4°, d = 2.682 Å, I = 67.5
36.0°, d = 2.494 Å, I = 37.0
47.9°, d = 1.900 Å, I = 31.1
49.9°, d = 1.827 Å, I = 25.1
56.3°, d = 1.633 Å, I = 23.4
63.1°, d = 1.474 Å, I = 18.5

Diffraction record for Li3Co2Si2O8. The X-ray powder pattern is computed, not measured: it uses a PBE+U-relaxed structure and CuKα.

Crystal structure
```
30
Lattice="6.6118 0.0000 0.0000 0.0000 5.0949 0.0000 -0.2256 0.0000 10.5999" Properties=species:S:1:pos:R:3 pbc="T T T"
Li 0.0000 0.3176 0.0000
Li -0.1128 4.7774 5.2999
Li 1.3791 2.2064 6.2155
Li 1.4919 2.8885 0.9156
Li 1.3620 0.3433 8.0408
Li 1.4748 4.7516 2.7408
Co 4.5479 0.2642 8.1674
Co 4.6607 4.8308 2.8674
Co 4.6653 2.2614 6.0579
Co 4.7781 2.8335 0.7579
Si 3.0739 0.3679 0.1346
Si 2.9611 4.7270 5.4346
Si 6.4131 2.2481 3.4792
Si 6.3003 2.8469 8.7792
O 1.0015 2.2781 8.0899
O 1.1143 2.8169 2.7899
O 1.5893 0.1976 6.0743
O 1.7021 4.8973 0.7744
O 3.0849 5.0937 3.8499
O 2.9721 0.0012 9.1498
O 3.1935 2.0156 0.3795
O 3.0807 3.0793 5.6794
O 4.3642 0.2649 6.1816
O 4.4770 4.8301 0.8816
O 4.9504 2.2098 7.9939
O 5.0632 2.8851 2.6940
O 6.2810 0.5862 3.4812
O 6.1329 2.3659 10.4008
O 6.2457 2.7290 5.1009
O 6.1682 4.5088 8.7812
```

Most intense lines, 10 to 80 degrees two-theta, low angle first:
13.4°, d = 6.610 Å, I = 100.0
21.3°, d = 4.179 Å, I = 33.4
22.0°, d = 4.035 Å, I = 31.8
27.6°, d = 3.231 Å, I = 19.8
28.0°, d = 3.191 Å, I = 53.2
32.2°, d = 2.778 Å, I = 17.1
33.8°, d = 2.650 Å, I = 36.9
35.2°, d = 2.547 Å, I = 40.1

Diffraction record for Li4Fe3Cu3Sn2O16. The X-ray powder pattern is computed, not measured: it uses a PBE+U-relaxed structure and CuKα.

Crystal structure
```
28
Lattice="5.9574 0.0000 0.0000 2.9772 5.1912 0.0000 0.0462 0.0204 9.7725" Properties=species:S:1:pos:R:3 pbc="T T T"
Li 0.0000 0.0000 0.0000
Li 0.0778 0.0290 4.9093
Li 3.1386 1.8060 3.9657
Li 6.0792 3.5445 8.8334
Fe 1.6162 0.9225 7.0556
Fe 4.5623 4.3497 2.1815
Fe 6.0253 1.7939 2.1738
Cu 3.0616 3.4780 7.0614
Cu 4.5400 0.9348 7.0638
Cu 7.4969 4.3445 2.1684
Sn 3.0539 1.7801 9.7593
Sn 6.0554 3.4918 4.8715
O 3.0214 5.2023 7.9222
O 1.7018 2.5343 8.2967
O 1.4892 0.8513 1.0405
O 3.0471 3.5596 1.0470
O 4.5381 4.4432 5.9113
O 3.1281 1.8144 6.0653
O 4.3991 2.5958 8.2763
O 3.1093 0.2311 8.2741
O 4.7154 2.7406 3.3981
O 6.0728 5.0682 3.3950
O 4.5954 0.9235 1.0259
O 6.0992 3.5403 1.1452
O 6.0451 1.6962 5.9378
O 7.6172 4.3891 5.9295
O 7.4009 2.6831 3.4180
O 8.9284 5.1869 3.0726
```

Most intense lines, 10 to 80 degrees two-theta, low angle first:
19.4°, d = 4.580 Å, I = 100.0
19.5°, d = 4.560 Å, I = 43.2
25.0°, d = 3.558 Å, I = 32.4
32.4°, d = 2.760 Å, I = 40.2
35.1°, d = 2.553 Å, I = 39.8
35.2°, d = 2.548 Å, I = 28.4
36.0°, d = 2.498 Å, I = 37.7
62.0°, d = 1.496 Å, I = 27.1